For K2CoH8C2O10, a DFT-relaxed cell (GGA+U, OQMD) gives the computed PXRD pattern in this record (copper Kα).
Peak positions follow from Bragg's law for the DFT cell and can differ from measured ones.

Atomic structure:
a = 6.6423 Å, b = 6.0113 Å, c = 12.1221 Å
α = 90.00°, β = 114.24°, γ = 90.00°
Fractional coordinates of all 46 atoms:
K 0.2283 0.1472 0.3184
K 0.2283 0.3528 0.8184
K 0.7717 0.6472 0.1816
K 0.7717 0.8528 0.6816
Co 0.0000 0.0000 0.0000
Co 0.0000 0.5000 0.5000
H 0.1974 0.6684 0.3630
H 0.1974 0.8316 0.8630
H 0.2095 0.6864 0.9797
H 0.2095 0.8136 0.4797
H 0.3007 0.1795 0.5731
H 0.3007 0.3205 0.0731
H 0.4287 0.0937 0.1099
H 0.4287 0.4063 0.6099
H 0.5713 0.5937 0.3901
H 0.5713 0.9063 0.8901
H 0.6993 0.6795 0.9269
H 0.6993 0.8205 0.4269
H 0.7905 0.1864 0.5203
H 0.7905 0.3136 0.0203
H 0.8026 0.1684 0.1370
H 0.8026 0.3316 0.6370
C 0.2613 0.6525 0.1782
C 0.2613 0.8475 0.6782
C 0.7387 0.1525 0.3218
C 0.7387 0.3475 0.8218
O 0.1043 0.7414 0.4009
O 0.1043 0.7586 0.9009
O 0.1239 0.6824 0.6501
O 0.1239 0.8176 0.1501
O 0.2943 0.1612 0.0452
O 0.2943 0.3388 0.5452
O 0.3206 0.5599 0.2833
O 0.3206 0.9401 0.7833
O 0.3390 0.5783 0.1026
O 0.3390 0.9217 0.6026
O 0.6610 0.0783 0.3974
O 0.6610 0.4217 0.8974
O 0.6794 0.0599 0.2167
O 0.6794 0.4401 0.7167
O 0.7057 0.6612 0.4548
O 0.7057 0.8388 0.9548
O 0.8761 0.1824 0.8499
O 0.8761 0.3176 0.3499
O 0.8957 0.2414 0.0991
O 0.8957 0.2586 0.5991

Main lines, most intense first (10 to 90 degrees two-theta):
| two_theta | d (Å) | I/Imax | hkl |
| --- | --- | --- | --- |
| 31.03 | 2.882 | 100 | 2 1 -1 |
| 14.63 | 6.056 | 69 | 1 0 0 |
| 16.75 | 5.292 | 56 | 1 0 -2 |
| 30.83 | 2.900 | 54 | 0 2 1 |
| 29.51 | 3.027 | 53 | 1 0 -4 |
| 28.41 | 3.141 | 52 | 0 1 3 |
| 20.02 | 4.434 | 51 | 1 1 -1 |
| 35.76 | 2.511 | 41 | 0 1 4 |
| 45.58 | 1.990 | 37 | 2 2 1 |
| 24.44 | 3.642 | 33 | 1 1 1 |